Calculated X-ray powder pattern
Compound: CeDyGe4
Radiation: CuKα
Structure: a crystal structure in Alexandria, relaxed with PBE

Most intense lines, 2θ from 15° to 90°, sorted by position:
2θ (°)  I_rel
19.3  5
31.8  53
37.5  100
39.3  20
56.7  21
60.5  33
66.6  25
75.7  9
79.0  11
80.1  7

Structural model:
a b c (Å): 7.947 7.947 7.947
angles (deg): 90.00 90.00 90.00
Space group F-43m (No. 216)
One atom of each set of equivalent atoms:
Ce (0.000, 0.000, 0.000)
Dy (0.250, 0.250, 0.750)
Ge (0.124, 0.124, 0.376)